Simulated powder X-ray diffraction pattern of Na2NbWO6 for Cu Kα, from a GGA+U-relaxed structure.

Largest 6 diffraction maxima, in order of falling intensity, 2θ = 10–90°:
2θ = 31.8°, d 2.817, I = 100.0
2θ = 22.3°, d 3.984, I = 99.4
2θ = 51.3°, d 1.782, I = 40.8
2θ = 56.6°, d 1.626, I = 39.8
2θ = 45.5°, d 1.992, I = 37.4
2θ = 66.4°, d 1.408, I = 22.1

Cell and atoms:
Cell: 5.632 5.632 3.985 Å, 90.00 90.00 90.00°
Space group P4mm (No. 99)
Unique sites:
Na  0.000  0.500  0.000 [2 per cell]
Nb  0.000  0.000  0.501 [1 per cell]
W  0.500  0.500  0.501 [1 per cell]
O  0.000  0.000  0.001 [1 per cell]
O  0.253  0.253  0.502 [4 per cell]
O  0.500  0.500  0.001 [1 per cell]